[1]
Diffraction record for Tb2YIrO8. The XRD peak list is computed, not measured: it uses a DFT-relaxed cell (GGA-PBE, Alexandria) and Cu Ka.

Top 8 peaks for 10° ≤ 2θ ≤ 90°, by angle:
24.77°, rel. 58, hkl 0 2 0
25.03°, rel. 54, hkl 2 0 0
31.66°, rel. 100, hkl 1 1 2
35.50°, rel. 29, hkl 2 2 0
48.14°, rel. 40, hkl 1 3 2
48.45°, rel. 37, hkl 3 1 2
61.36°, rel. 22, hkl 3 3 2
66.12°, rel. 11, hkl 2 2 4

Unit cell a=7.1140 b=7.1901 c=6.8166 alpha=90.00 beta=90.00 gamma=90.00
Space group Cmmm (No. 65)
One atom of each set of equivalent atoms:
Tb: 0.0000 0.0000 0.2485
Y: 0.0000 0.5000 0.0000
Ir: 0.0000 0.5000 0.5000
O: 0.0000 0.3173 0.2902
O: 0.1929 0.0000 0.0000
O: 0.2322 0.0000 0.5000

[2]
Diffraction record for TcIr2O6. The XRD peak list is computed, not measured: it uses a DFT-relaxed cell (GGA-PBE, Alexandria) and Cu Ka.

Top 8 peaks for 10° ≤ 2θ ≤ 90°, by angle:
28.44°, rel. 100, hkl 1 1 1
36.12°, rel. 45, hkl 3 0 0
46.60°, rel. 26, hkl 2 2 1
54.46°, rel. 41, hkl 3 0 2
60.34°, rel. 24, hkl 1 4 1
64.76°, rel. 10, hkl 1 1 3
64.95°, rel. 13, hkl 3 3 0
89.73°, rel. 10, hkl 6 0 2

Unit cell a=8.6146 b=8.6146 c=4.5819 alpha=90.00 beta=90.00 gamma=120.00
Space group P321 (No. 150)
One atom of each set of equivalent atoms:
Tc: 0.0000 0.0000 0.0000
Tc: 0.3333 0.6667 0.4939
Ir: 0.0000 0.3430 0.0000
Ir: 0.0000 0.6756 0.5000
O: 0.1058 0.2185 0.2439
O: 0.1160 0.5672 0.2440
O: 0.2160 0.4480 0.7381

[3]
Diffraction record for TcIrO6. The XRD peak list is computed, not measured: it uses a DFT-relaxed cell (GGA-PBE, Alexandria) and Cu Ka.

Top 8 peaks for 10° ≤ 2θ ≤ 90°, by angle:
23.97°, rel. 100, hkl 1 1 1
33.82°, rel. 29, hkl 1 0 2
34.47°, rel. 24, hkl 1 2 0
42.42°, rel. 11, hkl 2 2 0
49.07°, rel. 18, hkl 2 2 2
54.88°, rel. 22, hkl 2 1 3
55.77°, rel. 18, hkl 2 -1 1
61.34°, rel. 11, hkl 3 1 3

Unit cell a=5.2031 b=5.2033 c=5.3007 alpha=89.96 beta=60.61 gamma=60.00
Space group P-1 (No. 2)
One atom of each set of equivalent atoms:
Tc: 0.0000 0.0000 0.0000
Ir: 0.0000 0.5000 0.5000
O: 0.0754 0.1713 0.2496
O: 0.0781 0.2486 0.7523
O: 0.4963 0.6752 0.7537

[4]
Diffraction record for TeIrO6. The XRD peak list is computed, not measured: it uses a DFT-relaxed cell (GGA-PBE, Alexandria) and Cu Ka.

Top 8 peaks for 10° ≤ 2θ ≤ 90°, by angle:
24.36°, rel. 52, hkl 0 0 2
24.59°, rel. 100, hkl 1 1 -1
34.28°, rel. 19, hkl 0 2 0
34.89°, rel. 63, hkl 1 1 -3
35.83°, rel. 14, hkl 2 0 -2
42.50°, rel. 16, hkl 0 2 2
50.42°, rel. 15, hkl 2 2 -2
61.78°, rel. 15, hkl 1 3 -3

Unit cell a=5.0125 b=5.2324 c=8.8492 alpha=90.00 beta=124.33 gamma=90.00
Space group P2_1/c (No. 14)
One atom of each set of equivalent atoms:
Te: 0.0000 0.0000 0.0000
Ir: 0.5000 0.0000 0.5000
O: 0.1210 0.0400 0.2542
O: 0.2424 0.6749 0.0678
O: 0.4005 0.1792 0.0670

[5]
Diffraction record for ThTl2Ir3O12. The XRD peak list is computed, not measured: it uses a DFT-relaxed cell (GGA-PBE, Alexandria) and Cu Ka.

Top 8 peaks for 10° ≤ 2θ ≤ 90°, by angle:
24.00°, rel. 32, hkl 1 1 0
28.38°, rel. 70, hkl 0 2 1
29.65°, rel. 100, hkl 1 1 3
30.12°, rel. 81, hkl 2 0 2
32.04°, rel. 57, hkl 0 1 5
45.88°, rel. 33, hkl 0 3 3
47.56°, rel. 40, hkl 1 2 5
49.13°, rel. 62, hkl 2 2 0

Unit cell a=7.4167 b=7.4167 c=15.5082 alpha=90.00 beta=90.00 gamma=120.00
Space group R-3m (No. 166, hexagonal axes)
One atom of each set of equivalent atoms:
Th: 0.0000 0.0000 0.0000
Tl: 0.0000 0.0000 0.3878
Ir: 0.0000 0.5000 0.5000
O: 0.0317 0.5159 0.3777
O: 0.0758 0.5379 0.8119

[6]
Diffraction record for Ti6Ir2O. The XRD peak list is computed, not measured: it uses a DFT-relaxed cell (GGA-PBE, Alexandria) and Cu Ka.

Top 8 peaks for 10° ≤ 2θ ≤ 90°, by angle:
21.60°, rel. 58, hkl 1 1 -1
22.40°, rel. 28, hkl 0 0 2
31.20°, rel. 29, hkl 1 1 1
31.42°, rel. 27, hkl 1 1 -3
38.09°, rel. 31, hkl 2 0 0
38.45°, rel. 100, hkl 0 2 2
44.02°, rel. 46, hkl 2 2 -2
45.71°, rel. 22, hkl 0 0 4

Unit cell a=5.8363 b=5.8008 c=9.8074 alpha=90.00 beta=125.95 gamma=90.00
Space group P2_1/c (No. 14)
One atom of each set of equivalent atoms:
Ti: 0.1783 0.0028 0.2405
Ti: 0.2514 0.7216 0.0308
Ti: 0.3154 0.2232 0.0336
Ir: 0.2478 0.0185 0.7494
O: 0.5000 0.0000 0.5000

[7]
Diffraction record for TlIr3O9. The XRD peak list is computed, not measured: it uses a DFT-relaxed cell (GGA-PBE, Alexandria) and Cu Ka.

Top 8 peaks for 10° ≤ 2θ ≤ 90°, by angle:
24.26°, rel. 47, hkl 0 2 0
26.94°, rel. 100, hkl 1 0 -2
28.59°, rel. 75, hkl 1 0 2
29.59°, rel. 59, hkl 1 2 0
31.27°, rel. 52, hkl 1 2 -1
32.01°, rel. 91, hkl 1 2 1
33.74°, rel. 55, hkl 2 0 0
41.65°, rel. 39, hkl 0 2 3

Unit cell a=5.3231 b=7.3386 c=8.0787 alpha=90.00 beta=93.46 gamma=90.00
Space group P2_1/m (No. 11)
One atom of each set of equivalent atoms:
Tl: 0.0359 0.2500 0.4428
Ir: 0.0000 0.0000 0.0000
Ir: 0.4712 0.0031 0.6955
O: 0.1219 0.2500 0.9810
O: 0.1609 0.5697 0.7945
O: 0.2708 0.5423 0.4759
O: 0.3165 0.5620 0.1123
O: 0.3357 0.2500 0.6784
O: 0.3982 0.2500 0.2971

[8]
Diffraction record for Tl6IrO12. The XRD peak list is computed, not measured: it uses a DFT-relaxed cell (GGA-PBE, Alexandria) and Cu Ka.

Top 8 peaks for 10° ≤ 2θ ≤ 90°, by angle:
27.79°, rel. 37, hkl 0 0 3
29.22°, rel. 100, hkl 3 -1 1
33.45°, rel. 52, hkl 1 2 2
47.12°, rel. 30, hkl 3 -1 4
48.94°, rel. 25, hkl 4 1 0
55.59°, rel. 15, hkl 1 2 5
57.22°, rel. 26, hkl 5 -4 3
58.02°, rel. 14, hkl 2 4 1

Unit cell a=9.8475 b=9.8475 c=9.6299 alpha=90.00 beta=90.00 gamma=120.00
Space group R-3 (No. 148, hexagonal axes)
One atom of each set of equivalent atoms:
Tl: 0.0455 0.7868 0.1526
Ir: 0.0000 0.0000 0.5000
O: 0.0241 0.8002 0.8988
O: 0.0364 0.8542 0.3908

[9]
Diffraction record for Tl5Ir2O12. The XRD peak list is computed, not measured: it uses a DFT-relaxed cell (GGA-PBE, Alexandria) and Cu Ka.

Top 8 peaks for 10° ≤ 2θ ≤ 90°, by angle:
26.74°, rel. 95, hkl 3 1 0
28.26°, rel. 100, hkl 1 1 -2
29.94°, rel. 25, hkl 4 0 0
31.96°, rel. 45, hkl 0 2 1
32.94°, rel. 34, hkl 2 2 0
33.05°, rel. 39, hkl 4 0 -2
33.18°, rel. 39, hkl 2 0 2
51.28°, rel. 37, hkl 1 3 -2

Unit cell a=12.5079 b=6.1087 c=7.3795 alpha=90.00 beta=107.38 gamma=90.00
Space group C2/m (No. 12)
One atom of each set of equivalent atoms:
Tl: 0.0000 0.0000 0.0000
Tl: 0.1932 0.5000 0.3239
Tl: 0.2007 0.5000 0.8680
Ir: 0.0000 0.2483 0.5000
O: 0.0014 0.0000 0.3291
O: 0.0007 0.5000 0.6818
O: 0.1503 0.2466 0.0707
O: 0.1608 0.2714 0.5818

[10]
Diffraction record for TmIr2O6. The XRD peak list is computed, not measured: it uses a DFT-relaxed cell (GGA-PBE, Alexandria) and Cu Ka.

Top 8 peaks for 10° ≤ 2θ ≤ 90°, by angle:
18.66°, rel. 16, hkl 0 0 1
27.19°, rel. 100, hkl 1 0 1
34.29°, rel. 53, hkl 1 1 0
39.32°, rel. 14, hkl 2 -1 1
44.30°, rel. 27, hkl 2 0 1
51.98°, rel. 46, hkl 2 -1 2
57.19°, rel. 26, hkl 3 -1 1
61.41°, rel. 16, hkl 3 0 0

Unit cell a=5.2300 b=5.2300 c=4.7561 alpha=90.00 beta=90.00 gamma=120.00
Space group P-31m (No. 162)
One atom of each set of equivalent atoms:
Tm: 0.0000 0.0000 0.0000
Ir: 0.3333 0.6667 0.5000
O: 0.0000 0.3547 0.7265

[11]
Diffraction record for Y6IrO12. The XRD peak list is computed, not measured: it uses a DFT-relaxed cell (GGA-PBE, Alexandria) and Cu Ka.

Top 8 peaks for 10° ≤ 2θ ≤ 90°, by angle:
21.56°, rel. 16, hkl 0 1 2
28.44°, rel. 30, hkl 0 0 3
29.27°, rel. 100, hkl 3 -1 1
33.69°, rel. 36, hkl 1 2 2
47.84°, rel. 30, hkl 3 -1 4
48.92°, rel. 29, hkl 4 1 0
57.56°, rel. 24, hkl 5 -4 3
58.03°, rel. 13, hkl 2 4 1

Unit cell a=9.8527 b=9.8527 c=9.4148 alpha=90.00 beta=90.00 gamma=120.00
Space group R-3 (No. 148, hexagonal axes)
One atom of each set of equivalent atoms:
Y: 0.0422 0.7877 0.1439
Ir: 0.0000 0.0000 0.5000
O: 0.0324 0.8087 0.9009
O: 0.0400 0.8537 0.3889